This entry pairs a crystal structure of TaCo3 with its computed powder diffractogram. Radiation: a wavelength of 1.5418 Å. Structure: DFT lattice parameters and positions (GGA-PBE).
Lines closer than 0.1° are merged.

Structural model:
abc: 3.6380 3.6380 3.6380
angles: 90.00 90.00 90.00
Space group Pm-3m (No. 221)
Asymmetric unit:
Ta 0.0000 0.0000 0.0000 [1 per cell]
Co 0.0000 0.5000 0.5000 [3 per cell]

Principal peaks in the range 10 to 90 degrees two-theta, by angle:
d 3.638, I 33.2, (1 0 0); d 2.572, I 27.4, (1 1 0); d 2.100, I 100.0, (1 1 1); d 1.819, I 47.5, (2 0 0); d 1.627, I 14.7, (2 1 0); d 1.485, I 11.1, (2 1 1); d 1.286, I 28.8, (2 2 0); d 1.213, I 7.4, (3 0 0); d 1.150, I 5.2, (3 1 0); d 1.097, I 35.6, (3 1 1)

***

This entry pairs a crystal structure of TaCo3 with its computed powder diffractogram. Radiation: a wavelength of 1.5418 Å. Structure: DFT lattice parameters and positions (GGA-PBE).
Lines closer than 0.1° are merged.

Structural model:
abc: 5.1628 5.1628 18.7555
angles: 90.00 90.00 120.00
Space group R-3m (No. 166, hexagonal axes)
Asymmetric unit:
Ta 0.0000 0.0000 0.0000 [3 per cell]
Ta 0.0000 0.0000 0.2184 [6 per cell]
Co 0.0000 0.5000 0.0000 [9 per cell]
Co 0.0186 0.5093 0.2233 [18 per cell]

Principal peaks in the range 10 to 90 degrees two-theta, by angle:
d 3.236, I 37.4, (1 0 4); d 2.874, I 39.2, (0 1 5); d 2.581, I 31.4, (1 1 0); d 2.220, I 40.5, (0 2 1); d 2.084, I 53.3, (0 0 9); d 2.018, I 100.0, (0 2 4); d 1.920, I 92.3, (2 0 5); d 1.291, I 31.5, (2 2 0); d 1.212, I 22.1, (0 2 13); d 1.097, I 39.3, (2 2 9)

***

This entry pairs a crystal structure of TaCoTe2 with its computed powder diffractogram. Radiation: a wavelength of 1.5418 Å. Structure: DFT lattice parameters and positions (GGA-PBE).
Lines closer than 0.1° are merged.

Structural model:
abc: 8.5399 6.3401 7.7904
angles: 90.00 114.54 90.00
Space group P2_1/c (No. 14)
Asymmetric unit:
Ta 0.0145 0.0214 0.3091 [4 per cell]
Co 0.1004 0.6504 0.5573 [4 per cell]
Te 0.2204 0.2432 0.1400 [4 per cell]
Te 0.2999 0.7491 0.9010 [4 per cell]

Principal peaks in the range 10 to 90 degrees two-theta, by angle:
d 7.768, I 100.0, (1 0 0); d 3.093, I 18.5, (0 1 2); d 3.009, I 21.0, (2 1 -2); d 2.935, I 12.9, (1 2 0); d 2.456, I 45.1, (2 2 0); d 2.360, I 14.2, (2 1 -3); d 2.324, I 16.4, (2 2 -2); d 2.113, I 14.7, (4 0 -2); d 2.080, I 11.1, (2 1 2); d 1.944, I 11.2, (2 0 -4)

***

This entry pairs a crystal structure of Ta4CoTe4 with its computed powder diffractogram. Radiation: a wavelength of 1.5418 Å. Structure: DFT lattice parameters and positions (GGA-PBE).
Lines closer than 0.1° are merged.

Structural model:
abc: 10.6384 18.4583 4.8137
angles: 90.00 90.00 90.00
Space group Pbam (No. 55)
Asymmetric unit:
Ta 0.0658 0.1193 0.0000 [4 per cell]
Ta 0.1010 0.8893 0.5000 [4 per cell]
Ta 0.1937 0.0588 0.5000 [4 per cell]
Ta 0.2083 0.9629 0.0000 [4 per cell]
Co 0.0000 0.0000 0.2506 [4 per cell]
Te 0.1105 0.2066 0.5000 [4 per cell]
Te 0.1413 0.4348 0.5000 [4 per cell]
Te 0.1652 0.6003 0.0000 [4 per cell]
Te 0.1725 0.8089 0.0000 [4 per cell]

Principal peaks in the range 10 to 90 degrees two-theta, by angle:
d 5.324, I 39.0, (2 0 0); d 2.728, I 62.1, (3 2 1); d 2.566, I 49.1, (2 5 1); d 2.519, I 100.0, (1 6 1); d 2.428, I 38.2, (3 4 1); d 2.407, I 72.1, (0 0 2); d 2.309, I 44.4, (4 1 1); d 2.258, I 27.2, (3 5 1); d 2.177, I 60.9, (4 3 1); d 2.120, I 52.1, (2 7 1)

***

This entry pairs a crystal structure of ZrTaCo4 with its computed powder diffractogram. Radiation: a wavelength of 1.5418 Å. Structure: DFT lattice parameters and positions (GGA-PBE).
Lines closer than 0.1° are merged.

Structural model:
abc: 6.8308 6.8308 6.8308
angles: 90.00 90.00 90.00
Space group F-43m (No. 216)
Asymmetric unit:
Zr 0.0000 0.0000 0.0000 [4 per cell]
Ta 0.2500 0.2500 0.7500 [4 per cell]
Co 0.1249 0.1249 0.3751 [16 per cell]

Principal peaks in the range 10 to 90 degrees two-theta, by angle:
d 3.944, I 14.6, (1 1 1); d 3.415, I 6.8, (2 0 0); d 2.415, I 57.2, (2 2 0); d 2.060, I 100.0, (3 1 1); d 1.972, I 19.1, (2 2 2); d 1.567, I 3.8, (3 3 1); d 1.394, I 20.2, (4 2 2); d 1.315, I 29.6, (5 1 1); d 1.208, I 21.4, (4 4 0); d 1.155, I 3.2, (5 3 1)

***

This entry pairs a crystal structure of Tb2Co17 with its computed powder diffractogram. Radiation: a wavelength of 1.5418 Å. Structure: DFT lattice parameters and positions (GGA-PBE).
Lines closer than 0.1° are merged.

Structural model:
abc: 8.2990 8.2990 8.1098
angles: 90.00 90.00 120.00
Space group P6_3/mmc (No. 194)
Asymmetric unit:
Tb 0.0000 0.0000 0.2500 [2 per cell]
Tb 0.3333 0.6667 0.2500 [2 per cell]
Co 0.0000 0.5000 0.0000 [6 per cell]
Co 0.0476 0.3764 0.7500 [12 per cell]
Co 0.1667 0.3333 0.0211 [12 per cell]
Co 0.3333 0.6667 0.6070 [4 per cell]

Principal peaks in the range 10 to 90 degrees two-theta, by angle:
d 2.900, I 42.0, (1 1 2); d 2.396, I 40.1, (3 0 0); d 2.160, I 40.6, (2 0 3); d 2.075, I 64.3, (2 2 0); d 2.063, I 100.0, (3 0 2); d 2.027, I 32.3, (0 0 4); d 1.847, I 19.0, (2 2 2); d 1.463, I 18.1, (4 1 2); d 1.450, I 17.2, (2 2 4); d 1.177, I 17.8, (3 0 6)

***

This entry pairs a crystal structure of Tb4Co3 with its computed powder diffractogram. Radiation: a wavelength of 1.5418 Å. Structure: DFT lattice parameters and positions (GGA-PBE).
Lines closer than 0.1° are merged.

Structural model:
abc: 11.2854 11.2854 4.0763
angles: 90.00 90.00 120.00
Space group P-3 (No. 147)
Asymmetric unit:
Tb 0.0244 0.2461 0.2504 [6 per cell]
Tb 0.1350 0.6201 0.2501 [6 per cell]
Co 0.0000 0.0000 0.5000 [1 per cell]
Co 0.1570 0.4383 0.7474 [6 per cell]
Co 0.3333 0.6667 0.7480 [2 per cell]

Principal peaks in the range 10 to 90 degrees two-theta, by angle:
d 2.737, I 100.0, (1 2 1); d 2.711, I 33.8, (1 3 0); d 2.545, I 28.6, (3 0 1); d 2.320, I 9.6, (4 -2 1); d 2.133, I 21.0, (4 1 0); d 2.038, I 17.1, (0 0 2); d 1.682, I 11.4, (6 -4 1); d 1.629, I 12.7, (4 -1 2); d 1.473, I 9.8, (4 1 2); d 1.461, I 21.7, (2 5 1)

***

This entry pairs a crystal structure of TbCo3 with its computed powder diffractogram. Radiation: a wavelength of 1.5418 Å. Structure: DFT lattice parameters and positions (GGA-PBE).
Lines closer than 0.1° are merged.

Structural model:
abc: 4.9747 4.9747 24.4015
angles: 90.00 90.00 120.00
Space group R-3m (No. 166, hexagonal axes)
Asymmetric unit:
Tb 0.0000 0.0000 0.0000 [3 per cell]
Tb 0.0000 0.0000 0.1397 [6 per cell]
Co 0.0000 0.0000 0.3333 [6 per cell]
Co 0.0000 0.0000 0.5000 [3 per cell]
Co 0.0008 0.5004 0.0807 [18 per cell]

Principal peaks in the range 10 to 90 degrees two-theta, by angle:
d 2.710, I 48.9, (1 0 7); d 2.488, I 88.7, (1 1 0); d 2.146, I 35.9, (0 2 1); d 2.122, I 100.0, (1 1 6); d 2.032, I 18.9, (0 0 12); d 1.971, I 23.8, (2 0 5); d 1.475, I 14.8, (2 1 7); d 1.436, I 24.3, (3 0 0); d 1.354, I 34.2, (2 0 14); d 1.244, I 19.5, (2 2 0)

***

This entry pairs a crystal structure of Tb2Co17 with its computed powder diffractogram. Radiation: a wavelength of 1.5418 Å. Structure: DFT lattice parameters and positions (GGA-PBE).
Lines closer than 0.1° are merged.

Structural model:
abc: 8.3049 8.3049 12.1936
angles: 90.00 90.00 120.00
Space group R-3m (No. 166, hexagonal axes)
Asymmetric unit:
Tb 0.0000 0.0000 0.1553 [6 per cell]
Co 0.0000 0.0000 0.4036 [6 per cell]
Co 0.0000 0.2892 0.5000 [18 per cell]
Co 0.0000 0.5000 0.0000 [9 per cell]
Co 0.0032 0.5016 0.3466 [18 per cell]

Principal peaks in the range 10 to 90 degrees two-theta, by angle:
d 2.905, I 39.6, (1 1 3); d 2.397, I 41.3, (3 0 0); d 2.325, I 33.3, (0 2 4); d 2.076, I 64.6, (2 2 0); d 2.065, I 100.0, (3 0 3); d 2.031, I 51.0, (0 0 6); d 1.849, I 20.5, (2 2 3); d 1.464, I 16.9, (1 4 3); d 1.452, I 26.8, (2 2 6); d 1.198, I 23.8, (6 0 0)

***

This entry pairs a crystal structure of TbCo2 with its computed powder diffractogram. Radiation: a wavelength of 1.5418 Å. Structure: DFT lattice parameters and positions (GGA-PBE).
Lines closer than 0.1° are merged.

Structural model:
abc: 7.1858 7.1858 7.1858
angles: 90.00 90.00 90.00
Space group Fd-3m (No. 227, origin choice 2)
Asymmetric unit:
Tb 0.1250 0.1250 0.1250 [8 per cell]
Co 0.0000 0.0000 0.5000 [16 per cell]

Principal peaks in the range 10 to 90 degrees two-theta, by angle:
d 4.149, I 14.2, (1 1 1); d 2.541, I 65.4, (2 2 0); d 2.167, I 100.0, (3 1 1); d 2.074, I 14.7, (2 2 2); d 1.649, I 3.9, (3 3 1); d 1.467, I 24.0, (4 2 2); d 1.383, I 30.3, (5 1 1); d 1.270, I 22.1, (4 4 0); d 1.136, I 10.7, (6 2 0); d 1.096, I 11.0, (5 3 3)

***

This entry pairs a crystal structure of CoTc with its computed powder diffractogram. Radiation: a wavelength of 1.5418 Å. Structure: DFT lattice parameters and positions (GGA-PBE).
Lines closer than 0.1° are merged.

Structural model:
abc: 2.6583 2.6583 4.1326
angles: 90.00 90.00 120.00
Space group P-6m2 (No. 187)
Asymmetric unit:
Co 0.0000 0.0000 0.0000 [1 per cell]
Tc 0.3333 0.6667 0.5000 [1 per cell]

Principal peaks in the range 10 to 90 degrees two-theta, by angle:
d 4.133, I 8.8, (0 0 1); d 2.302, I 29.0, (1 0 0); d 2.066, I 23.7, (0 0 2); d 2.011, I 100.0, (1 0 1); d 1.538, I 15.8, (1 0 2); d 1.329, I 15.8, (1 1 0); d 1.182, I 16.4, (1 0 3); d 1.151, I 3.0, (2 0 0); d 1.118, I 18.2, (1 1 2); d 1.109, I 13.7, (2 0 1)

***

This entry pairs a crystal structure of CoTe2 with its computed powder diffractogram. Radiation: a wavelength of 1.5418 Å. Structure: DFT lattice parameters and positions (GGA-PBE).
Lines closer than 0.1° are merged.

Structural model:
abc: 5.3424 6.2860 3.9182
angles: 90.00 90.00 90.00
Space group Pnnm (No. 58)
Asymmetric unit:
Co 0.0000 0.0000 0.0000 [2 per cell]
Te 0.2286 0.3616 0.0000 [4 per cell]

Principal peaks in the range 10 to 90 degrees two-theta, by angle:
d 3.325, I 20.6, (0 1 1); d 3.160, I 17.7, (1 0 1); d 2.823, I 100.0, (1 1 1); d 2.709, I 74.3, (1 2 0); d 2.671, I 18.9, (2 0 0); d 2.082, I 55.0, (2 1 1); d 1.959, I 23.4, (0 0 2); d 1.848, I 30.7, (0 3 1); d 1.587, I 29.1, (1 2 2); d 1.570, I 18.1, (3 1 1)